1.
Starting from a cell relaxed with GGA-PBE, the X-ray powder pattern of Sm7Tm12In was calculated for CuKα.
No peak broadening, texture or thermal motion is included.

Most intense lines, 10 to 90 degrees two-theta, in order of falling intensity:
31.12°, intensity 100.0
36.05°, intensity 33.8
51.98°, intensity 23.7
61.74°, intensity 21.3
36.17°, intensity 16.7
61.87°, intensity 10.5

```
20
Lattice="6.103 0.000 0.000 -0.011 9.315 0.000 -1.985 -1.325 10.845" Properties=species:S:1:pos:R:3 pbc="T T T"
Sm 0.000 0.000 0.000
Sm -0.958 2.033 10.259
Sm 0.052 6.670 6.505
Sm 1.009 2.036 2.725
Sm 3.097 5.954 8.120
Sm 4.054 1.320 4.340
Sm 5.064 5.957 0.586
Tm -0.957 3.337 7.002
Tm -0.031 8.009 3.277
Tm 0.035 5.321 9.787
Tm 1.042 0.693 5.961
Tm 2.023 5.320 2.248
Tm 1.076 -0.644 9.191
Tm 3.030 8.634 1.654
Tm 2.083 2.670 8.597
Tm 3.064 7.297 4.884
Tm 4.071 2.668 1.058
Tm 4.137 -0.019 7.568
Tm 5.063 4.653 3.843
In 2.053 3.995 5.423
```

2.
Starting from a cell relaxed with GGA-PBE, the X-ray powder pattern of Sm5Tm8In was calculated for CuKα.
No peak broadening, texture or thermal motion is included.

Most intense lines, 10 to 90 degrees two-theta, in order of falling intensity:
33.02°, intensity 100.0
35.09°, intensity 29.8
31.33°, intensity 29.1
30.72°, intensity 25.4
26.36°, intensity 21.2
32.68°, intensity 21.0

```
14
Lattice="6.241 -5.480 0.000 6.241 5.480 0.000 -6.140 0.000 6.474" Properties=species:S:1:pos:R:3 pbc="T T T"
Sm 0.000 0.000 0.000
Sm 0.275 0.044 3.991
Sm -1.673 -2.093 5.614
Sm 6.067 0.044 2.483
Sm 8.014 -2.093 0.860
Tm -1.641 2.151 5.643
Tm 1.425 3.074 4.210
Tm 4.916 3.074 2.264
Tm 2.865 0.009 1.561
Tm 7.983 2.151 0.831
Tm 3.476 0.009 4.913
Tm 1.480 -3.003 4.167
Tm 4.862 -3.003 2.308
In 3.171 -5.447 3.237
```

3.
Starting from a cell relaxed with GGA-PBE, the X-ray powder pattern of Sm3TmIn2 was calculated for CuKα.
No peak broadening, texture or thermal motion is included.

Most intense lines, 10 to 90 degrees two-theta, in order of falling intensity:
31.92°, intensity 100.0
32.73°, intensity 62.5
34.09°, intensity 38.9
31.44°, intensity 24.6
47.44°, intensity 18.1
57.86°, intensity 14.9

```
12
Lattice="5.260 0.000 0.000 0.000 9.953 0.000 0.000 0.000 6.768" Properties=species:S:1:pos:R:3 pbc="T T T"
Sm 0.000 0.336 0.000
Sm 0.000 3.248 2.296
Sm 0.000 6.704 5.680
Sm 0.000 9.617 3.384
Sm 2.630 1.816 4.917
Sm 2.630 8.137 1.533
Tm 2.630 4.612 0.426
Tm 2.630 5.341 3.810
In 0.000 3.541 5.575
In 0.000 6.412 2.192
In 2.630 1.456 1.651
In 2.630 8.497 5.034
```

4.
Starting from a cell relaxed with GGA-PBE, the X-ray powder pattern of Sm7Tm3In was calculated for CuKα.
No peak broadening, texture or thermal motion is included.

Most intense lines, 10 to 90 degrees two-theta, in order of falling intensity:
31.21°, intensity 100.0
36.27°, intensity 66.7
31.47°, intensity 32.4
62.11°, intensity 27.8
52.06°, intensity 23.7
52.40°, intensity 23.3

```
11
Lattice="7.026 0.000 0.000 -3.513 6.085 0.000 0.000 0.000 8.529" Properties=species:S:1:pos:R:3 pbc="T T T"
Sm 0.000 0.000 0.000
Sm 0.000 1.995 2.902
Sm -1.785 5.087 2.902
Sm 3.513 0.025 0.071
Sm 1.779 3.030 0.071
Sm 1.785 5.087 2.902
Sm 5.248 3.030 0.071
Tm 1.754 1.013 5.726
Tm 5.272 1.013 5.726
Tm 3.513 4.059 5.726
In 3.513 2.028 2.979
```